No. 1
This entry pairs a crystal structure of Cs3RbZn2H8 with its computed powder XRD pattern. Radiation: Cu Kα (λ = 1.5418 Å). Structure: a cell relaxed with GGA-PBE.

abc: 6.3982 6.3982 8.5561
angles: 90.00 90.00 120.00
Atoms (fractional coordinates):
Cs (0.0000, 0.0000, 0.0000)
Cs (0.3333, 0.6667, 0.6998)
Cs (0.6667, 0.3333, 0.3002)
Rb (0.0000, 0.0000, 0.5000)
Zn (0.3333, 0.6667, 0.2323)
Zn (0.6667, 0.3333, 0.7677)
H (0.1917, 0.3833, 0.3003)
H (0.1917, 0.8083, 0.3003)
H (0.3333, 0.6667, 0.0406)
H (0.3833, 0.1917, 0.6997)
H (0.6167, 0.8083, 0.3003)
H (0.6667, 0.3333, 0.9594)
H (0.8083, 0.1917, 0.6997)
H (0.8083, 0.6167, 0.6997)

Most intense lines, 15° ≤ 2θ ≤ 90°, by angle:
- 2θ 19.08, 4.651 Å, rel. 15
- 2θ 26.32, 3.386 Å, rel. 100
- 2θ 27.89, 3.199 Å, rel. 94
- 2θ 38.72, 2.325 Å, rel. 36
- 2θ 45.45, 1.996 Å, rel. 10
- 2θ 48.39, 1.881 Å, rel. 37
- 2θ 49.34, 1.847 Å, rel. 19
- 2θ 51.39, 1.778 Å, rel. 16
- 2θ 57.63, 1.600 Å, rel. 12
- 2θ 64.42, 1.446 Å, rel. 16



No. 2
This entry pairs a crystal structure of HoTm3Tl4Se8 with its computed powder XRD pattern. Radiation: Cu Kα (λ = 1.5418 Å). Structure: a cell relaxed with GGA-PBE.

abc: 9.1340 9.1340 9.1340
angles: 53.96 53.96 53.96
Atoms (fractional coordinates):
Ho (0.0000, 0.0000, 0.0000)
Tm (0.0000, 0.5000, 0.5000)
Tm (0.5000, 0.0000, 0.5000)
Tm (0.5000, 0.5000, 0.0000)
Tl (0.0000, 0.0000, 0.5000)
Tl (0.0000, 0.5000, 0.0000)
Tl (0.5000, 0.0000, 0.0000)
Tl (0.5000, 0.5000, 0.5000)
Se (0.2349, 0.2349, 0.7322)
Se (0.2349, 0.7322, 0.2349)
Se (0.2663, 0.2663, 0.2663)
Se (0.2678, 0.7651, 0.7651)
Se (0.7322, 0.2349, 0.2349)
Se (0.7337, 0.7337, 0.7337)
Se (0.7651, 0.2678, 0.7651)
Se (0.7651, 0.7651, 0.2678)

Most intense lines, 15° ≤ 2θ ≤ 90°, by angle:
- 2θ 22.86, 3.890 Å, rel. 13
- 2θ 25.98, 3.430 Å, rel. 22
- 2θ 29.22, 3.057 Å, rel. 100
- 2θ 39.82, 2.264 Å, rel. 38
- 2θ 43.69, 2.072 Å, rel. 35
- 2θ 49.87, 1.828 Å, rel. 11
- 2θ 53.42, 1.715 Å, rel. 19
- 2θ 60.58, 1.528 Å, rel. 11
- 2θ 65.86, 1.418 Å, rel. 14
- 2θ 71.40, 1.321 Å, rel. 16



No. 3
This entry pairs a crystal structure of BaLiTeI with its computed powder XRD pattern. Radiation: Cu Kα (λ = 1.5418 Å). Structure: a cell relaxed with GGA-PBE.

abc: 16.0114 16.0114 16.0114
angles: 17.66 17.66 17.66
Atoms (fractional coordinates):
Ba (0.0835, 0.0835, 0.0835)
Ba (0.9165, 0.9165, 0.9165)
Li (0.3131, 0.3131, 0.3131)
Li (0.6869, 0.6869, 0.6869)
Te (0.3724, 0.3724, 0.3724)
Te (0.6276, 0.6276, 0.6276)
I (0.2086, 0.2086, 0.2086)
I (0.7914, 0.7914, 0.7914)

Most intense lines, 15° ≤ 2θ ≤ 90°, by angle:
- 2θ 22.20, 4.004 Å, rel. 19
- 2θ 24.73, 3.601 Å, rel. 100
- 2θ 28.21, 3.163 Å, rel. 16
- 2θ 29.54, 3.024 Å, rel. 18
- 2θ 33.89, 2.645 Å, rel. 16
- 2θ 36.57, 2.457 Å, rel. 49
- 2θ 38.68, 2.328 Å, rel. 25
- 2θ 44.65, 2.030 Å, rel. 20
- 2θ 59.03, 1.565 Å, rel. 17
- 2θ 60.21, 1.537 Å, rel. 20



No. 4
This entry pairs a crystal structure of Ac2MgTl4 with its computed powder XRD pattern. Radiation: Cu Kα (λ = 1.5418 Å). Structure: a cell relaxed with GGA-PBE.

abc: 9.8847 6.3927 9.0371
angles: 90.00 120.74 90.00
Atoms (fractional coordinates):
Ac (0.1225, 0.0000, 0.2660)
Ac (0.3775, 0.5000, 0.7340)
Ac (0.6225, 0.5000, 0.2660)
Ac (0.8775, 0.0000, 0.7340)
Mg (0.0000, 0.5000, 0.0000)
Mg (0.5000, 0.0000, 0.0000)
Tl (0.0327, 0.5000, 0.3526)
Tl (0.2500, 0.2500, 0.0000)
Tl (0.2500, 0.7500, 0.0000)
Tl (0.4673, 0.0000, 0.6474)
Tl (0.5327, 0.0000, 0.3526)
Tl (0.7500, 0.2500, 0.0000)
Tl (0.7500, 0.7500, 0.0000)
Tl (0.9673, 0.5000, 0.6474)

Most intense lines, 15° ≤ 2θ ≤ 90°, by angle:
- 2θ 17.61, 5.037 Å, rel. 82
- 2θ 21.72, 4.091 Å, rel. 78
- 2θ 28.64, 3.116 Å, rel. 100
- 2θ 30.24, 2.956 Å, rel. 56
- 2θ 33.39, 2.683 Å, rel. 59
- 2θ 33.66, 2.663 Å, rel. 38
- 2θ 34.64, 2.589 Å, rel. 78
- 2θ 35.14, 2.554 Å, rel. 57
- 2θ 35.80, 2.509 Å, rel. 55
- 2θ 36.40, 2.468 Å, rel. 77



No. 5
This entry pairs a crystal structure of SrOsPdO6 with its computed powder XRD pattern. Radiation: Cu Kα (λ = 1.5418 Å). Structure: a cell relaxed with GGA-PBE.

abc: 5.3126 5.3126 5.3325
angles: 90.04 90.04 119.96
Atoms (fractional coordinates):
Sr (0.0000, 0.0000, 0.0000)
Os (0.6667, 0.3333, 0.5000)
Pd (0.3331, 0.6669, 0.5000)
O (0.3817, 0.0148, 0.7017)
O (0.3822, 0.3678, 0.2980)
O (0.6310, 0.0147, 0.2979)
O (0.6322, 0.6178, 0.7020)
O (0.9853, 0.3690, 0.7021)
O (0.9852, 0.6183, 0.2983)

Most intense lines, 15° ≤ 2θ ≤ 90°, by angle:
- 2θ 16.62, 5.332 Å, rel. 42
- 2θ 19.29, 4.602 Å, rel. 16
- 2θ 25.57, 3.484 Å, rel. 100
- 2θ 33.74, 2.657 Å, rel. 44
- 2θ 37.83, 2.378 Å, rel. 25
- 2θ 42.80, 2.113 Å, rel. 23
- 2θ 48.36, 1.882 Å, rel. 50
- 2θ 55.58, 1.654 Å, rel. 23
- 2θ 60.34, 1.534 Å, rel. 15
- 2θ 70.88, 1.329 Å, rel. 12



No. 6
This entry pairs a crystal structure of Ta3Te6P with its computed powder XRD pattern. Radiation: Cu Kα (λ = 1.5418 Å). Structure: a cell relaxed with GGA-PBE.

abc: 6.3278 15.3020 11.4090
angles: 90.00 90.00 90.00
Atoms (fractional coordinates):
Ta (0.0325, 0.2500, 0.1877)
Ta (0.1722, 0.7500, 0.3304)
Ta (0.1964, 0.7500, 0.0310)
Ta (0.3036, 0.2500, 0.5310)
Ta (0.3278, 0.2500, 0.8304)
Ta (0.4675, 0.7500, 0.6877)
Ta (0.5325, 0.2500, 0.3123)
Ta (0.6722, 0.7500, 0.1696)
Ta (0.6964, 0.7500, 0.4690)
Ta (0.8036, 0.2500, 0.9690)
Ta (0.8278, 0.2500, 0.6696)
Ta (0.9675, 0.7500, 0.8123)
Te (0.1463, 0.1290, 0.9958)
Te (0.1463, 0.3710, 0.9958)
Te (0.1497, 0.1225, 0.6806)
Te (0.1497, 0.3775, 0.6806)
Te (0.2056, 0.1241, 0.3414)
Te (0.2056, 0.3759, 0.3414)
Te (0.2944, 0.6241, 0.8414)
Te (0.2944, 0.8759, 0.8414)
Te (0.3503, 0.6225, 0.1806)
Te (0.3503, 0.8775, 0.1806)
Te (0.3537, 0.6290, 0.4958)
Te (0.3537, 0.8710, 0.4958)
Te (0.6463, 0.1290, 0.5042)
Te (0.6463, 0.3710, 0.5042)
Te (0.6497, 0.1225, 0.8194)
Te (0.6497, 0.3775, 0.8194)
Te (0.7056, 0.1241, 0.1586)
Te (0.7056, 0.3759, 0.1586)
Te (0.7944, 0.6241, 0.6586)
Te (0.7944, 0.8759, 0.6586)
Te (0.8503, 0.6225, 0.3194)
Te (0.8503, 0.8775, 0.3194)
Te (0.8537, 0.6290, 0.0042)
Te (0.8537, 0.8710, 0.0042)
P (0.0772, 0.7500, 0.5721)
P (0.4228, 0.2500, 0.0721)
P (0.5772, 0.7500, 0.9279)
P (0.9228, 0.2500, 0.4279)

Most intense lines, 15° ≤ 2θ ≤ 90°, by angle:
- 2θ 32.60, 2.747 Å, rel. 100
- 2θ 33.32, 2.689 Å, rel. 33
- 2θ 34.27, 2.617 Å, rel. 18
- 2θ 35.00, 2.564 Å, rel. 22
- 2θ 36.21, 2.481 Å, rel. 22
- 2θ 40.43, 2.231 Å, rel. 56
- 2θ 41.03, 2.200 Å, rel. 19
- 2θ 47.54, 1.913 Å, rel. 25
- 2θ 49.41, 1.845 Å, rel. 34
- 2θ 70.99, 1.328 Å, rel. 20